The following is a computed powder diffractogram of DyHoIr. It was derived from a crystal structure in Alexandria, relaxed with GGA-PBE, using copper Kα.
Kinematic intensities with the Lorentz-polarization factor, no thermal factor.

Atomic structure:
Cell lengths 4.7922, 4.7922, 6.7725 Å; angles 90.09, 90.09, 90.00 degrees
Fractional positions:
Dy  0.0006  0.9994  0.7500
Dy  0.9994  0.0006  0.2500
Ho  0.4995  0.5005  0.2500
Ho  0.5005  0.4995  0.7500
Ir  0.0000  0.5000  0.0000
Ir  0.5000  0.0000  0.5000

The 8 most intense peaks (2θ from 10° to 90°), by angle:
d_spacing	I_rel
3.912	32.7
3.388	8.8
2.396	100.0
2.043	17.2
1.694	17.6
1.555	6.1
1.384	24.0
1.382	11.9



The following is a computed powder diffractogram of Li3Mg4Zn. It was derived from a crystal structure in Alexandria, relaxed with GGA-PBE, using copper Kα.
Kinematic intensities with the Lorentz-polarization factor, no thermal factor.

Atomic structure:
Cell lengths 12.9380, 12.9380, 3.3191 Å; angles 97.21, 97.21, 17.41 degrees
Fractional positions:
Li  0.0000  0.0000  0.0000
Li  0.1529  0.1529  0.6538
Li  0.8471  0.8471  0.3462
Mg  0.2847  0.2847  0.7845
Mg  0.4104  0.4104  0.9087
Mg  0.5896  0.5896  0.0913
Mg  0.7153  0.7153  0.2155
Zn  0.5000  0.5000  0.5000

The 8 most intense peaks (2θ from 10° to 90°), by angle:
d_spacing	I_rel
6.343	56.1
3.869	100.0
3.096	35.2
2.483	50.3
2.451	29.2
2.444	29.3
2.288	34.9
2.172	53.0



The following is a computed powder diffractogram of Pm2NdSi4. It was derived from a crystal structure in Alexandria, relaxed with GGA-PBE, using copper Kα.
Kinematic intensities with the Lorentz-polarization factor, no thermal factor.

Atomic structure:
Cell lengths 9.4099, 9.4099, 9.4099 Å; angles 155.82, 152.89, 36.64 degrees
Fractional positions:
Pm  0.1821  0.1821  0.0000
Pm  0.8179  0.8179  0.0000
Nd  0.0000  0.5000  0.5000
Si  0.3532  0.3532  0.0000
Si  0.4339  0.9339  0.5000
Si  0.5661  0.0661  0.5000
Si  0.6468  0.6468  0.0000

The 8 most intense peaks (2θ from 10° to 90°), by angle:
d_spacing	I_rel
4.282	28.9
3.287	62.0
2.978	28.8
2.792	100.0
2.776	58.3
2.455	23.6
2.205	26.9
1.831	24.1



The following is a computed powder diffractogram of Cs3H4S. It was derived from a crystal structure in Alexandria, relaxed with GGA-PBE, using copper Kα.
Kinematic intensities with the Lorentz-polarization factor, no thermal factor.

Atomic structure:
Cell lengths 10.3103, 10.3103, 5.8277 Å; angles 104.53, 104.53, 25.42 degrees
Fractional positions:
Cs  0.0000  0.0000  0.0000
Cs  0.1394  0.1394  0.6313
Cs  0.8606  0.8606  0.3687
H  0.3829  0.3829  0.7989
H  0.4124  0.4124  0.7329
H  0.5876  0.5876  0.2671
H  0.6171  0.6171  0.2011
S  0.5000  0.5000  0.5000

The 8 most intense peaks (2θ from 10° to 90°), by angle:
d_spacing	I_rel
4.413	100.0
4.261	44.8
3.382	18.9
3.337	21.4
2.911	82.0
2.854	47.8
2.369	21.9
1.693	21.0



The following is a computed powder diffractogram of Ca4HoTh3Bi8. It was derived from a crystal structure in Alexandria, relaxed with GGA-PBE, using copper Kα.
Kinematic intensities with the Lorentz-polarization factor, no thermal factor.

Atomic structure:
Cell lengths 9.1989, 9.1989, 9.1989 Å; angles 60.17, 60.17, 60.17 degrees
Fractional positions:
Ca  0.0000  0.0000  0.0000
Ca  0.0000  0.5000  0.5000
Ca  0.5000  0.0000  0.5000
Ca  0.5000  0.5000  0.0000
Ho  0.5000  0.5000  0.5000
Th  0.0000  0.0000  0.5000
Th  0.0000  0.5000  0.0000
Th  0.5000  0.0000  0.0000
Bi  0.2492  0.2492  0.2492
Bi  0.2519  0.7460  0.7460
Bi  0.2540  0.2540  0.7481
Bi  0.2540  0.7481  0.2540
Bi  0.7460  0.2519  0.7460
Bi  0.7460  0.7460  0.2519
Bi  0.7481  0.2540  0.2540
Bi  0.7508  0.7508  0.7508

The 8 most intense peaks (2θ from 10° to 90°), by angle:
d_spacing	I_rel
7.501	15.8
3.257	100.0
2.306	39.6
2.300	39.2
1.882	21.7
1.458	19.1
1.455	18.8
1.330	21.2



The following is a computed powder diffractogram of Sr3Mg2Tl2Hg4. It was derived from a crystal structure in Alexandria, relaxed with GGA-PBE, using copper Kα.
Kinematic intensities with the Lorentz-polarization factor, no thermal factor.

Atomic structure:
Cell lengths 5.1264, 5.1264, 14.6164 Å; angles 90.00, 90.00, 120.00 degrees
Fractional positions:
Sr  0.0000  0.0000  0.0000
Sr  0.0000  0.0000  0.2760
Sr  0.0000  0.0000  0.7240
Mg  0.3333  0.6667  0.5680
Mg  0.6667  0.3333  0.4320
Tl  0.3333  0.6667  0.1442
Tl  0.6667  0.3333  0.8558
Hg  0.3333  0.6667  0.3775
Hg  0.3333  0.6667  0.8731
Hg  0.6667  0.3333  0.1269
Hg  0.6667  0.3333  0.6225

The 8 most intense peaks (2θ from 10° to 90°), by angle:
d_spacing	I_rel
3.794	25.2
3.654	31.1
3.282	25.6
2.821	75.5
2.563	100.0
2.098	43.1
1.897	24.1
1.525	25.5



Please write out number 2 again, unchanged.
The following is a computed powder diffractogram of Li3Mg4Zn. It was derived from a crystal structure in Alexandria, relaxed with GGA-PBE, using copper Kα.
Kinematic intensities with the Lorentz-polarization factor, no thermal factor.

Atomic structure:
Cell lengths 12.9380, 12.9380, 3.3191 Å; angles 97.21, 97.21, 17.41 degrees
Fractional positions:
Li  0.0000  0.0000  0.0000
Li  0.1529  0.1529  0.6538
Li  0.8471  0.8471  0.3462
Mg  0.2847  0.2847  0.7845
Mg  0.4104  0.4104  0.9087
Mg  0.5896  0.5896  0.0913
Mg  0.7153  0.7153  0.2155
Zn  0.5000  0.5000  0.5000

The 8 most intense peaks (2θ from 10° to 90°), by angle:
d_spacing	I_rel
6.343	56.1
3.869	100.0
3.096	35.2
2.483	50.3
2.451	29.2
2.444	29.3
2.288	34.9
2.172	53.0